1.
Computed powder diffractogram of Ce8PuSi2 for copper Kα, from a crystal structure in Alexandria, relaxed with PBE.

Peak list (10 most intense, 10 to 90 degrees two-theta, by angle)
two_theta  I (rel.)
13.3  299
14.2  223
27.5  219
32.2  565
32.3  630
33.6  1000
37.1  416
37.3  616
38.0  373
51.9  274

Atomic structure:
```
Ce8PuSi2
1.0
4.086 -6.675 0.000
4.086 6.675 0.000
-2.929 0.000 4.980
Ce Pu Si
8 1 2
Direct
0.000 0.000 0.000 Ce
0.074 0.276 0.609 Ce
0.171 0.596 0.210 Ce
0.276 0.074 0.609 Ce
0.473 0.728 0.882 Ce
0.596 0.171 0.210 Ce
0.728 0.473 0.882 Ce
0.728 0.728 0.319 Ce
0.381 0.381 0.291 Pu
0.033 0.649 0.652 Si
0.649 0.033 0.652 Si
```


2.
Computed powder diffractogram of Ce2PuSi4 for copper Kα, from a crystal structure in Alexandria, relaxed with PBE.

Peak list (10 most intense, 10 to 90 degrees two-theta, by angle)
two_theta  I (rel.)
21.6  386
27.0  653
30.0  269
32.6  1000
32.8  602
37.0  301
42.8  208
51.4  352
51.7  210
57.5  245

Atomic structure:
```
Ce2PuSi4
1.0
3.960 0.000 0.000
0.000 4.227 0.000
0.000 0.000 17.897
Ce Pu Si
4 2 8
Direct
0.000 0.000 0.184 Ce
0.000 0.000 0.816 Ce
0.500 0.500 0.316 Ce
0.500 0.500 0.684 Ce
0.000 0.500 0.500 Pu
0.500 0.000 0.000 Pu
0.000 0.000 0.361 Si
0.000 0.000 0.639 Si
0.000 0.500 0.065 Si
0.000 0.500 0.935 Si
0.500 0.000 0.435 Si
0.500 0.000 0.565 Si
0.500 0.500 0.139 Si
0.500 0.500 0.861 Si
```


3.
Computed powder diffractogram of Ce4PuSi for copper Kα, from a crystal structure in Alexandria, relaxed with PBE.

Peak list (10 most intense, 10 to 90 degrees two-theta, by angle)
two_theta  I (rel.)
12.8  1000
15.6  545
25.3  455
30.4  432
32.2  458
32.4  409
33.3  876
36.8  379
50.0  209
52.3  231

Atomic structure:
```
Ce4PuSi
1.0
8.330 0.000 0.000
0.000 7.576 0.000
-6.434 0.000 9.574
Ce Pu Si
16 4 4
Direct
0.051 0.117 0.410 Ce
0.051 0.383 0.910 Ce
0.210 0.570 0.508 Ce
0.210 0.930 0.008 Ce
0.280 0.204 0.780 Ce
0.280 0.296 0.280 Ce
0.348 0.683 0.860 Ce
0.348 0.817 0.360 Ce
0.652 0.183 0.640 Ce
0.652 0.317 0.140 Ce
0.720 0.704 0.720 Ce
0.720 0.796 0.220 Ce
0.790 0.070 0.992 Ce
0.790 0.430 0.492 Ce
0.949 0.617 0.090 Ce
0.949 0.883 0.590 Ce
0.001 0.095 0.782 Pu
0.001 0.405 0.282 Pu
0.999 0.595 0.718 Pu
0.999 0.905 0.218 Pu
0.388 0.579 0.158 Si
0.388 0.921 0.658 Si
0.612 0.079 0.342 Si
0.612 0.421 0.842 Si
```


4.
Computed powder diffractogram of CeSm3Pu2Te6 for copper Kα, from a crystal structure in Alexandria, relaxed with PBE.

Peak list (10 most intense, 10 to 90 degrees two-theta, by angle)
two_theta  I (rel.)
28.4  1000
40.4  389
40.7  379
49.8  71
50.4  206
58.7  130
66.2  181
66.7  177
73.2  68
73.9  132

Atomic structure:
```
CeSm3Pu2Te6
1.0
9.725 -2.214 0.000
9.725 2.214 0.000
-2.151 0.000 8.673
Ce Sm Pu Te
1 3 2 6
Direct
0.000 0.000 0.000 Ce
0.000 0.000 0.500 Sm
0.334 0.334 0.167 Sm
0.666 0.666 0.833 Sm
0.334 0.334 0.668 Pu
0.666 0.666 0.332 Pu
0.167 0.167 0.582 Te
0.168 0.168 0.084 Te
0.500 0.500 0.253 Te
0.500 0.500 0.747 Te
0.832 0.832 0.916 Te
0.833 0.833 0.418 Te
```


5.
Computed powder diffractogram of Ce3Pu3Sn for copper Kα, from a crystal structure in Alexandria, relaxed with PBE.

Peak list (10 most intense, 10 to 90 degrees two-theta, by angle)
two_theta  I (rel.)
16.8  487
23.9  417
29.4  1000
42.0  521
45.5  614
48.9  394
69.0  182
71.6  257
79.2  189
86.7  205

Atomic structure:
```
Ce3Pu3Sn
1.0
7.452 0.000 0.000
0.000 7.452 0.000
0.000 0.000 7.452
Ce Pu Sn
6 6 2
Direct
0.000 0.250 0.500 Ce
0.000 0.750 0.500 Ce
0.250 0.500 0.000 Ce
0.500 0.000 0.250 Ce
0.500 0.000 0.750 Ce
0.750 0.500 0.000 Ce
0.000 0.500 0.250 Pu
0.000 0.500 0.750 Pu
0.250 0.000 0.500 Pu
0.500 0.250 0.000 Pu
0.500 0.750 0.000 Pu
0.750 0.000 0.500 Pu
0.000 0.000 0.000 Sn
0.500 0.500 0.500 Sn
```


6.
Computed powder diffractogram of Ce2PuSn for copper Kα, from a crystal structure in Alexandria, relaxed with PBE.

Peak list (10 most intense, 10 to 90 degrees two-theta, by angle)
two_theta  I (rel.)
32.5  1000
32.7  985
37.6  340
38.0  661
54.5  590
64.7  142
64.8  141
65.1  279
65.4  274
89.6  125

Atomic structure:
```
Ce2PuSn
1.0
6.729 0.000 0.000
0.000 9.573 0.000
0.000 0.000 6.673
Ce Pu Sn
8 4 4
Direct
0.000 0.000 0.000 Ce
0.000 0.500 0.000 Ce
0.250 0.250 0.250 Ce
0.250 0.750 0.750 Ce
0.500 0.000 0.500 Ce
0.500 0.500 0.500 Ce
0.750 0.250 0.250 Ce
0.750 0.750 0.750 Ce
0.250 0.250 0.750 Pu
0.250 0.750 0.250 Pu
0.750 0.250 0.750 Pu
0.750 0.750 0.250 Pu
0.000 0.000 0.500 Sn
0.000 0.500 0.500 Sn
0.500 0.000 0.000 Sn
0.500 0.500 0.000 Sn
```


7.
Computed powder diffractogram of Ce5Pu2Sn3 for copper Kα, from a crystal structure in Alexandria, relaxed with PBE.

Peak list (10 most intense, 10 to 90 degrees two-theta, by angle)
two_theta  I (rel.)
12.1  176
17.6  203
20.4  373
31.9  1000
34.8  633
35.7  426
38.1  288
41.5  176
43.4  347
52.1  170

Atomic structure:
```
Ce5Pu2Sn3
1.0
-4.354 6.770 5.028
4.354 -6.770 5.028
4.354 6.770 -5.028
Ce Pu Sn
10 4 6
Direct
0.019 0.750 0.269 Ce
0.106 0.730 0.837 Ce
0.250 0.250 0.000 Ce
0.394 0.230 0.624 Ce
0.481 0.750 0.731 Ce
0.519 0.250 0.269 Ce
0.606 0.770 0.376 Ce
0.750 0.750 0.000 Ce
0.894 0.270 0.163 Ce
0.981 0.250 0.731 Ce
0.138 0.441 0.579 Pu
0.362 0.941 0.304 Pu
0.638 0.059 0.696 Pu
0.862 0.559 0.421 Pu
0.141 0.093 0.233 Sn
0.250 0.750 0.500 Sn
0.359 0.593 0.952 Sn
0.641 0.407 0.048 Sn
0.750 0.250 0.500 Sn
0.859 0.907 0.767 Sn
```


8.
Computed powder diffractogram of Ce6PuSn3 for copper Kα, from a crystal structure in Alexandria, relaxed with PBE.

Peak list (10 most intense, 10 to 90 degrees two-theta, by angle)
two_theta  I (rel.)
14.3  206
31.5  163
33.8  1000
43.9  295
52.9  252
57.5  204
62.9  133
64.3  146
87.8  134
89.1  128

Atomic structure:
```
Ce6PuSn3
1.0
5.193 2.998 5.687
-5.193 2.998 5.687
0.000 -5.996 5.687
Ce Pu Sn
12 2 6
Direct
0.139 0.805 0.805 Ce
0.189 0.527 0.527 Ce
0.195 0.195 0.861 Ce
0.195 0.861 0.195 Ce
0.473 0.473 0.811 Ce
0.473 0.811 0.473 Ce
0.527 0.189 0.527 Ce
0.527 0.527 0.189 Ce
0.805 0.139 0.805 Ce
0.805 0.805 0.139 Ce
0.811 0.473 0.473 Ce
0.861 0.195 0.195 Ce
0.000 0.000 0.000 Pu
0.500 0.500 0.500 Pu
0.144 0.144 0.468 Sn
0.144 0.468 0.144 Sn
0.468 0.144 0.144 Sn
0.532 0.856 0.856 Sn
0.856 0.532 0.856 Sn
0.856 0.856 0.532 Sn
```


9.
Computed powder diffractogram of TbCe2Pu for copper Kα, from a crystal structure in Alexandria, relaxed with PBE.

Peak list (10 most intense, 10 to 90 degrees two-theta, by angle)
two_theta  I (rel.)
29.9  179
30.3  310
31.8  181
32.6  474
32.8  1000
35.5  851
37.1  158
52.9  400
56.5  173
63.6  423

Atomic structure:
```
TbCe2Pu
1.0
3.459 0.000 0.000
-1.730 2.996 0.000
0.000 0.000 32.966
Tb Ce Pu
3 6 3
Direct
0.000 0.000 0.000 Tb
0.333 0.667 0.667 Tb
0.667 0.333 0.333 Tb
0.000 0.000 0.424 Ce
0.000 0.000 0.579 Ce
0.333 0.667 0.090 Ce
0.333 0.667 0.246 Ce
0.667 0.333 0.757 Ce
0.667 0.333 0.913 Ce
0.000 0.000 0.171 Pu
0.333 0.667 0.838 Pu
0.667 0.333 0.504 Pu
```


10.
Computed powder diffractogram of TbCePu for copper Kα, from a crystal structure in Alexandria, relaxed with PBE.

Peak list (10 most intense, 10 to 90 degrees two-theta, by angle)
two_theta  I (rel.)
12.4  87
32.1  1000
36.9  354
37.8  149
53.2  126
53.8  217
63.5  288
64.7  126
67.1  113
88.4  98

Atomic structure:
```
TbCePu
1.0
3.445 0.000 0.000
0.000 3.445 0.000
0.000 0.000 14.283
Tb Ce Pu
2 2 2
Direct
0.000 0.000 0.000 Tb
0.500 0.500 0.500 Tb
0.000 0.000 0.679 Ce
0.500 0.500 0.179 Ce
0.000 0.000 0.324 Pu
0.500 0.500 0.824 Pu
```


11.
Computed powder diffractogram of Tb14CePu for copper Kα, from a crystal structure in Alexandria, relaxed with PBE.

Peak list (10 most intense, 10 to 90 degrees two-theta, by angle)
two_theta  I (rel.)
30.9  1000
35.8  506
51.5  361
61.2  286
61.3  142
64.3  123
75.8  38
84.1  178
86.7  112
86.9  55

Atomic structure:
```
Tb14CePu
1.0
7.101 0.000 0.000
0.000 7.101 0.000
0.000 0.000 10.022
Tb Ce Pu
14 1 1
Direct
0.000 0.000 0.000 Tb
0.000 0.500 0.000 Tb
0.000 0.500 0.500 Tb
0.249 0.249 0.253 Tb
0.249 0.249 0.747 Tb
0.249 0.751 0.253 Tb
0.249 0.751 0.747 Tb
0.500 0.000 0.000 Tb
0.500 0.000 0.500 Tb
0.500 0.500 0.000 Tb
0.751 0.249 0.253 Tb
0.751 0.249 0.747 Tb
0.751 0.751 0.253 Tb
0.751 0.751 0.747 Tb
0.500 0.500 0.500 Ce
0.000 0.000 0.500 Pu
```


12.
Computed powder diffractogram of TbCePu4 for copper Kα, from a crystal structure in Alexandria, relaxed with PBE.

Peak list (10 most intense, 10 to 90 degrees two-theta, by angle)
two_theta  I (rel.)
17.7  231
29.1  148
34.2  1000
35.8  564
41.6  132
54.9  355
60.3  335
71.2  124
72.1  232
86.0  234

Atomic structure:
```
TbCePu4
1.0
0.000 4.342 4.342
4.342 0.000 4.342
4.342 4.342 0.000
Tb Ce Pu
1 1 4
Direct
0.000 0.000 0.000 Tb
0.750 0.750 0.750 Ce
0.376 0.376 0.376 Pu
0.376 0.376 0.873 Pu
0.376 0.873 0.376 Pu
0.873 0.376 0.376 Pu
```


Number 11 is which compound? Tb14CePu